(1)
Diffraction record for Sr4Cd11. The PXRD pattern is calculated, not measured: it uses the PBE geometry in Alexandria and Cu Kα (weighted mean of Kα1 and Kα2).

Cell and atoms:
Lattice parameters (Å, degrees): 17.943 17.943 5.867 90.00 90.00 90.00
Space group I4_1/amd (No. 141, origin choice 2)
Asymmetric unit:
Sr: 0.000 0.107 0.013 x16
Cd: 0.000 0.000 0.500 x8
Cd: 0.000 0.250 0.375 x4
Cd: 0.142 0.003 0.749 x32

Peak list (8 most intense, 2θ from 5° to 70°, in order of rising 2θ)
hkl	d/Å	intensity
2 0 0	8.972	70
4 1 1	3.495	50
4 4 0	3.172	45
6 4 0	2.488	41
4 0 2	2.455	100
4 2 2	2.368	48
8 0 0	2.243	50
8 4 2	1.656	38



(2)
Diffraction record for Be2ZnBr6. The PXRD pattern is calculated, not measured: it uses the PBE geometry in Alexandria and Cu Kα (weighted mean of Kα1 and Kα2).

Cell and atoms:
Lattice parameters (Å, degrees): 13.425 13.847 6.285 90.00 115.16 90.00
Space group C2/c (No. 15)
Asymmetric unit:
Be: 0.234 0.077 0.353 x8
Zn: 0.000 0.273 0.250 x4
Br: 0.099 0.380 0.587 x8
Br: 0.116 0.182 0.110 x8
Br: 0.204 0.066 0.671 x8

Peak list (8 most intense, 2θ from 5° to 70°, in order of rising 2θ)
hkl	d/Å	intensity
2 2 0	4.567	65
1 3 1	3.212	100
2 0 -2	3.138	83
2 2 1	3.109	66
4 2 -1	3.003	94
2 4 -1	2.926	56
2 4 -2	2.325	30
5 5 0	1.827	39



(3)
Diffraction record for Ho3MgCd2. The PXRD pattern is calculated, not measured: it uses the PBE geometry in Alexandria and Cu Kα (weighted mean of Kα1 and Kα2).

Cell and atoms:
Lattice parameters (Å, degrees): 5.267 15.919 3.747 90.00 90.00 90.00
Space group Cmmm (No. 65)
Asymmetric unit:
Ho: 0.000 0.000 0.000 x2
Ho: 0.000 0.331 0.000 x4
Mg: 0.000 0.500 0.500 x2
Cd: 0.000 0.160 0.500 x4

Peak list (8 most intense, 2θ from 5° to 70°, in order of rising 2θ)
hkl	d/Å	intensity
1 3 0	3.741	14
1 3 1	2.648	100
2 0 0	2.634	20
0 0 2	1.874	7
2 6 0	1.869	14
0 6 2	1.530	21
2 0 2	1.527	7
3 3 1	1.523	15



What did the third record say?
Diffraction record for Ho3MgCd2. The PXRD pattern is calculated, not measured: it uses the PBE geometry in Alexandria and Cu Kα (weighted mean of Kα1 and Kα2).

Cell and atoms:
Lattice parameters (Å, degrees): 5.267 15.919 3.747 90.00 90.00 90.00
Space group Cmmm (No. 65)
Asymmetric unit:
Ho: 0.000 0.000 0.000 x2
Ho: 0.000 0.331 0.000 x4
Mg: 0.000 0.500 0.500 x2
Cd: 0.000 0.160 0.500 x4

Peak list (8 most intense, 2θ from 5° to 70°, in order of rising 2θ)
hkl	d/Å	intensity
1 3 0	3.741	14
1 3 1	2.648	100
2 0 0	2.634	20
0 0 2	1.874	7
2 6 0	1.869	14
0 6 2	1.530	21
2 0 2	1.527	7
3 3 1	1.523	15